This entry pairs a crystal structure of Cs2NdAuCl6 with its calculated X-ray powder pattern. Radiation: Cu Kα X-rays. Structure: a DFT-relaxed cell (PBE, the Materials Project).

Largest 6 diffraction maxima, by intensity, 2θ from 10° to 80°:
| Position (°2θ) | intensity |
| --- | --- |
| 22.8 | 100 |
| 32.4 | 50 |
| 40.0 | 47 |
| 46.5 | 35 |
| 63.0 | 26 |
| 52.4 | 22 |

Atomic structure:
```
data_Cs2NdAuCl6
_chemical_formula_sum 'Cs2 Nd1 Au1 Cl6'
_space_group_name_H-M_alt 'P 1'
_space_group_IT_number 1
_space_group_name_Hall 'P 1'
_cell_length_a 7.8043
_cell_length_b 7.8043
_cell_length_c 7.8043
_cell_angle_alpha 60.00
_cell_angle_beta 60.00
_cell_angle_gamma 60.00
loop_
_atom_site_label
_atom_site_type_symbol
_atom_site_fract_x
_atom_site_fract_y
_atom_site_fract_z
_atom_site_occupancy
Cs1 Cs 0.2500 0.2500 0.2500 1
Cs2 Cs 0.7500 0.7500 0.7500 1
Nd1 Nd 0.0000 0.0000 0.0000 1
Au1 Au 0.5000 0.5000 0.5000 1
Cl1 Cl 0.2480 0.2480 0.7520 1
Cl2 Cl 0.2480 0.7520 0.2480 1
Cl3 Cl 0.2480 0.7520 0.7520 1
Cl4 Cl 0.7520 0.2480 0.2480 1
Cl5 Cl 0.7520 0.2480 0.7520 1
Cl6 Cl 0.7520 0.7520 0.2480 1
```



This entry pairs a crystal structure of NbPt with its calculated X-ray powder pattern. Radiation: Cu Kα X-rays. Structure: a DFT-relaxed cell (PBE, the Materials Project).

Largest 6 diffraction maxima, by intensity, 2θ from 10° to 80°:
| Position (°2θ) | intensity |
| --- | --- |
| 41.4 | 100 |
| 40.7 | 42 |
| 38.7 | 38 |
| 71.9 | 20 |
| 77.8 | 19 |
| 36.4 | 18 |

Atomic structure:
```
data_NbPt
_chemical_formula_sum 'Nb2 Pt2'
_space_group_name_H-M_alt 'P 1'
_space_group_IT_number 1
_space_group_name_Hall 'P 1'
_cell_length_a 4.6485
_cell_length_b 2.8297
_cell_length_c 5.0506
_cell_angle_alpha 90.00
_cell_angle_beta 90.00
_cell_angle_gamma 90.00
loop_
_atom_site_label
_atom_site_type_symbol
_atom_site_fract_x
_atom_site_fract_y
_atom_site_fract_z
_atom_site_occupancy
Nb1 Nb 0.2500 0.0000 0.1797 1
Nb2 Nb 0.7500 0.0000 0.8203 1
Pt1 Pt 0.2500 0.5000 0.6750 1
Pt2 Pt 0.7500 0.5000 0.3250 1
```



This entry pairs a crystal structure of Ga2O3 with its calculated X-ray powder pattern. Radiation: Cu Kα X-rays. Structure: a DFT-relaxed cell (PBE, the Materials Project).

Largest 6 diffraction maxima, by intensity, 2θ from 10° to 80°:
| Position (°2θ) | intensity |
| --- | --- |
| 33.3 | 100 |
| 35.5 | 82 |
| 54.3 | 43 |
| 49.5 | 40 |
| 62.3 | 36 |
| 63.7 | 31 |

Atomic structure:
```
data_Ga2O3
_chemical_formula_sum 'Ga4 O6'
_space_group_name_H-M_alt 'P 1'
_space_group_IT_number 1
_space_group_name_Hall 'P 1'
_cell_length_a 5.3999
_cell_length_b 5.3999
_cell_length_c 5.3999
_cell_angle_alpha 55.87
_cell_angle_beta 55.87
_cell_angle_gamma 55.87
loop_
_atom_site_label
_atom_site_type_symbol
_atom_site_fract_x
_atom_site_fract_y
_atom_site_fract_z
_atom_site_occupancy
Ga1 Ga 0.1441 0.1441 0.1441 1
Ga2 Ga 0.3559 0.3559 0.3559 1
Ga3 Ga 0.6441 0.6441 0.6441 1
Ga4 Ga 0.8559 0.8559 0.8559 1
O1 O 0.0531 0.7500 0.4469 1
O2 O 0.2500 0.5531 0.9469 1
O3 O 0.4469 0.0531 0.7500 1
O4 O 0.5531 0.9469 0.2500 1
O5 O 0.7500 0.4469 0.0531 1
O6 O 0.9469 0.2500 0.5531 1
```



This entry pairs a crystal structure of LiEr2Ir with its calculated X-ray powder pattern. Radiation: Cu Kα X-rays. Structure: a DFT-relaxed cell (PBE, the Materials Project).

Largest 6 diffraction maxima, by intensity, 2θ from 10° to 80°:
| Position (°2θ) | intensity |
| --- | --- |
| 36.9 | 100 |
| 66.6 | 36 |
| 22.4 | 29 |
| 53.2 | 18 |
| 43.6 | 16 |
| 78.7 | 11 |

Atomic structure:
```
data_LiEr2Ir
_chemical_formula_sum 'Li1 Er2 Ir1'
_space_group_name_H-M_alt 'P 1'
_space_group_IT_number 1
_space_group_name_Hall 'P 1'
_cell_length_a 4.8658
_cell_length_b 4.8658
_cell_length_c 4.8658
_cell_angle_alpha 60.00
_cell_angle_beta 60.00
_cell_angle_gamma 60.00
loop_
_atom_site_label
_atom_site_type_symbol
_atom_site_fract_x
_atom_site_fract_y
_atom_site_fract_z
_atom_site_occupancy
Li1 Li 0.0000 0.0000 0.0000 1
Er1 Er 0.2500 0.2500 0.2500 1
Er2 Er 0.7500 0.7500 0.7500 1
Ir1 Ir 0.5000 0.5000 0.5000 1
```



This entry pairs a crystal structure of Sr2CaI6 with its calculated X-ray powder pattern. Radiation: Cu Kα X-rays. Structure: a DFT-relaxed cell (PBE, the Materials Project).

Largest 6 diffraction maxima, by intensity, 2θ from 10° to 80°:
| Position (°2θ) | intensity |
| --- | --- |
| 24.6 | 100 |
| 39.8 | 43 |
| 31.9 | 38 |
| 26.0 | 36 |
| 16.4 | 26 |
| 33.1 | 25 |

Atomic structure:
```
data_Sr2CaI6
_chemical_formula_sum 'Sr4 Ca2 I12'
_space_group_name_H-M_alt 'P 1'
_space_group_IT_number 1
_space_group_name_Hall 'P 1'
_cell_length_a 7.6621
_cell_length_b 7.6621
_cell_length_c 14.6239
_cell_angle_alpha 90.00
_cell_angle_beta 90.00
_cell_angle_gamma 90.00
loop_
_atom_site_label
_atom_site_type_symbol
_atom_site_fract_x
_atom_site_fract_y
_atom_site_fract_z
_atom_site_occupancy
Sr1 Sr 0.0000 0.0000 0.1664 1
Sr2 Sr 0.0000 0.0000 0.8336 1
Sr3 Sr 0.5000 0.5000 0.3336 1
Sr4 Sr 0.5000 0.5000 0.6664 1
Ca1 Ca 0.0000 0.0000 0.5000 1
Ca2 Ca 0.5000 0.5000 0.0000 1
I1 I 0.1941 0.1941 0.3399 1
I2 I 0.1941 0.1941 0.6601 1
I3 I 0.2053 0.2053 0.0000 1
I4 I 0.2947 0.7053 0.5000 1
I5 I 0.3059 0.6941 0.1601 1
I6 I 0.3059 0.6941 0.8399 1
I7 I 0.6941 0.3059 0.1601 1
I8 I 0.6941 0.3059 0.8399 1
I9 I 0.7053 0.2947 0.5000 1
I10 I 0.7947 0.7947 0.0000 1
I11 I 0.8059 0.8059 0.3399 1
I12 I 0.8059 0.8059 0.6601 1
```



This entry pairs a crystal structure of NaCeMg6O8 with its calculated X-ray powder pattern. Radiation: Cu Kα X-rays. Structure: a DFT-relaxed cell (PBE, the Materials Project).

Largest 6 diffraction maxima, by intensity, 2θ from 10° to 80°:
| Position (°2θ) | intensity |
| --- | --- |
| 40.3 | 100 |
| 22.2 | 64 |
| 58.0 | 55 |
| 34.6 | 52 |
| 39.8 | 47 |
| 19.9 | 41 |

Atomic structure:
```
data_NaCeMg6O8
_chemical_formula_sum 'Na1 Ce1 Mg6 O8'
_space_group_name_H-M_alt 'P 1'
_space_group_IT_number 1
_space_group_name_Hall 'P 1'
_cell_length_a 4.4706
_cell_length_b 4.4706
_cell_length_c 9.0530
_cell_angle_alpha 90.00
_cell_angle_beta 90.00
_cell_angle_gamma 90.00
loop_
_atom_site_label
_atom_site_type_symbol
_atom_site_fract_x
_atom_site_fract_y
_atom_site_fract_z
_atom_site_occupancy
Na1 Na 0.0000 0.0000 0.0000 1
Ce1 Ce 0.5000 0.5000 0.0000 1
Mg1 Mg 0.0000 0.0000 0.5000 1
Mg2 Mg 0.0000 0.5000 0.2714 1
Mg3 Mg 0.0000 0.5000 0.7286 1
Mg4 Mg 0.5000 0.0000 0.2714 1
Mg5 Mg 0.5000 0.0000 0.7286 1
Mg6 Mg 0.5000 0.5000 0.5000 1
O1 O 0.0000 0.0000 0.2721 1
O2 O 0.0000 0.0000 0.7279 1
O3 O 0.0000 0.5000 0.0000 1
O4 O 0.0000 0.5000 0.5000 1
O5 O 0.5000 0.0000 0.0000 1
O6 O 0.5000 0.0000 0.5000 1
O7 O 0.5000 0.5000 0.2693 1
O8 O 0.5000 0.5000 0.7307 1
```



This entry pairs a crystal structure of CuH5N2Cl3 with its calculated X-ray powder pattern. Radiation: Cu Kα X-rays. Structure: a DFT-relaxed cell (PBE, the Materials Project).

Largest 6 diffraction maxima, by intensity, 2θ from 10° to 80°:
| Position (°2θ) | intensity |
| --- | --- |
| 12.1 | 100 |
| 31.5 | 89 |
| 13.8 | 77 |
| 20.0 | 69 |
| 39.9 | 47 |
| 19.8 | 43 |

Atomic structure:
```
data_CuH5N2Cl3
_chemical_formula_sum 'Cu4 H20 N8 Cl12'
_space_group_name_H-M_alt 'P 1'
_space_group_IT_number 1
_space_group_name_Hall 'P 1'
_cell_length_a 14.5967
_cell_length_b 5.6771
_cell_length_c 7.1428
_cell_angle_alpha 90.00
_cell_angle_beta 90.00
_cell_angle_gamma 90.00
loop_
_atom_site_label
_atom_site_type_symbol
_atom_site_fract_x
_atom_site_fract_y
_atom_site_fract_z
_atom_site_occupancy
Cu1 Cu 0.0461 0.2500 0.1481 1
Cu2 Cu 0.4539 0.7500 0.6481 1
Cu3 Cu 0.5461 0.2500 0.3519 1
Cu4 Cu 0.9539 0.7500 0.8519 1
H1 H 0.0686 0.6025 0.5981 1
H2 H 0.0686 0.8975 0.5981 1
H3 H 0.1689 0.6000 0.8501 1
H4 H 0.1689 0.9000 0.8501 1
H5 H 0.2144 0.7500 0.6642 1
H6 H 0.2856 0.2500 0.1642 1
H7 H 0.3311 0.1000 0.3501 1
H8 H 0.3311 0.4000 0.3501 1
H9 H 0.4314 0.1025 0.0981 1
H10 H 0.4314 0.3975 0.0981 1
H11 H 0.5686 0.6025 0.9019 1
H12 H 0.5686 0.8975 0.9019 1
H13 H 0.6689 0.6000 0.6499 1
H14 H 0.6689 0.9000 0.6499 1
H15 H 0.7144 0.7500 0.8358 1
H16 H 0.7856 0.2500 0.3358 1
H17 H 0.8311 0.1000 0.1499 1
H18 H 0.8311 0.4000 0.1499 1
H19 H 0.9314 0.1025 0.4019 1
H20 H 0.9314 0.3975 0.4019 1
N1 N 0.0717 0.7500 0.6828 1
N2 N 0.1620 0.7500 0.7664 1
N3 N 0.3380 0.2500 0.2664 1
N4 N 0.4283 0.2500 0.1828 1
N5 N 0.5717 0.7500 0.8172 1
N6 N 0.6620 0.7500 0.7336 1
N7 N 0.8380 0.2500 0.2336 1
N8 N 0.9283 0.2500 0.3172 1
Cl1 Cl 0.0392 0.7500 0.1224 1
Cl2 Cl 0.1216 0.2500 0.4320 1
Cl3 Cl 0.1804 0.2500 0.9714 1
Cl4 Cl 0.3196 0.7500 0.4714 1
Cl5 Cl 0.3784 0.7500 0.9320 1
Cl6 Cl 0.4608 0.2500 0.6224 1
Cl7 Cl 0.5392 0.7500 0.3776 1
Cl8 Cl 0.6216 0.2500 0.0680 1
Cl9 Cl 0.6804 0.2500 0.5286 1
Cl10 Cl 0.8196 0.7500 0.0286 1
Cl11 Cl 0.8784 0.7500 0.5680 1
Cl12 Cl 0.9608 0.2500 0.8776 1
```